Simulated XRD peak list of TcBiMo3 for copper Kα, from a crystal structure in Alexandria, relaxed with PBE.
No peak broadening, texture or thermal motion is included.

Main lines, sorted by position (2θ = 5–70°):
two_theta, d_spacing, I_rel
26.37, 3.380, 60.7
32.44, 2.760, 88.4
37.64, 2.390, 100.0
46.54, 1.951, 27.4
54.28, 1.690, 68.3
61.33, 1.512, 12.3
64.68, 1.441, 36.1
67.93, 1.380, 23.2

```
TcBiMo3
1.0
4.7799 0.0000 0.0000
0.0000 4.7799 0.0000
0.0000 0.0000 4.7799
Tc Bi Mo
1 1 3
Direct
0.0000 0.0000 0.0000
0.5000 0.5000 0.5000
0.0000 0.0000 0.5000
0.0000 0.5000 0.0000
0.5000 0.0000 0.0000
```

***

Simulated XRD peak list of TlBi2Mo for copper Kα, from a crystal structure in Alexandria, relaxed with PBE.
No peak broadening, texture or thermal motion is included.

Main lines, sorted by position (2θ = 5–70°):
two_theta, d_spacing, I_rel
20.50, 4.332, 4.4
23.72, 3.751, 3.0
33.79, 2.653, 100.0
39.85, 2.262, 2.6
41.70, 2.166, 1.1
48.54, 1.876, 18.4
53.22, 1.721, 1.2
54.71, 1.678, 1.5
60.45, 1.531, 38.4
64.54, 1.444, 0.9

```
TlBi2Mo
1.0
0.0000 3.7512 3.7512
3.7512 0.0000 3.7512
3.7512 3.7512 0.0000
Tl Bi Mo
1 2 1
Direct
0.0000 0.0000 0.0000
0.2500 0.2500 0.2500
0.7500 0.7500 0.7500
0.5000 0.5000 0.5000
```

***

Simulated XRD peak list of BiN4 for copper Kα, from a crystal structure in Alexandria, relaxed with PBE.
No peak broadening, texture or thermal motion is included.

Main lines, sorted by position (2θ = 5–70°):
two_theta, d_spacing, I_rel
19.24, 4.614, 100.0
27.34, 3.262, 87.1
33.65, 2.664, 18.5
39.05, 2.307, 27.2
43.88, 2.063, 50.4
48.32, 1.883, 38.3
56.41, 1.631, 17.7
60.17, 1.538, 25.3
63.80, 1.459, 17.1
67.31, 1.391, 9.8

```
BiN4
1.0
4.6135 0.0000 0.0000
0.0000 4.6135 0.0000
0.0000 0.0000 4.6135
Bi N
1 4
Direct
0.0000 0.0000 0.0000
0.0000 0.0000 0.5000
0.0000 0.5000 0.0000
0.5000 0.0000 0.0000
0.5000 0.5000 0.5000
```

***

Simulated XRD peak list of Nd5Bi5N for copper Kα, from a crystal structure in Alexandria, relaxed with PBE.
No peak broadening, texture or thermal motion is included.

Main lines, sorted by position (2θ = 5–70°):
two_theta, d_spacing, I_rel
27.30, 3.267, 29.6
27.92, 3.196, 55.7
28.46, 3.136, 100.0
31.26, 2.861, 33.6
32.22, 2.778, 63.9
32.69, 2.739, 65.4
37.75, 2.383, 26.6
39.85, 2.262, 22.3
40.29, 2.238, 42.3
42.78, 2.114, 28.7

```
Nd5Bi5N
1.0
6.5929 -3.1363 0.0000
6.5929 3.1363 0.0000
-4.4453 0.0000 8.4932
Nd Bi N
5 5 1
Direct
0.0000 0.0000 0.0000
0.3416 0.3416 0.7242
0.3552 0.3552 0.1087
0.6448 0.6448 0.8913
0.6584 0.6584 0.2758
0.1117 0.1117 0.7689
0.2208 0.2208 0.3380
0.5000 0.5000 0.5000
0.7792 0.7792 0.6620
0.8883 0.8883 0.2311
0.5000 0.5000 0.0000
```

***

Copy entry 3 word for word.
Simulated XRD peak list of BiN4 for copper Kα, from a crystal structure in Alexandria, relaxed with PBE.
No peak broadening, texture or thermal motion is included.

Main lines, sorted by position (2θ = 5–70°):
two_theta, d_spacing, I_rel
19.24, 4.614, 100.0
27.34, 3.262, 87.1
33.65, 2.664, 18.5
39.05, 2.307, 27.2
43.88, 2.063, 50.4
48.32, 1.883, 38.3
56.41, 1.631, 17.7
60.17, 1.538, 25.3
63.80, 1.459, 17.1
67.31, 1.391, 9.8

```
BiN4
1.0
4.6135 0.0000 0.0000
0.0000 4.6135 0.0000
0.0000 0.0000 4.6135
Bi N
1 4
Direct
0.0000 0.0000 0.0000
0.0000 0.0000 0.5000
0.0000 0.5000 0.0000
0.5000 0.0000 0.0000
0.5000 0.5000 0.5000
```